Theoretical X-ray diffraction stick pattern of CsVTe2O8 for Cu Kα, 1.54184 Å, from the PBE+U geometry in Alexandria.
Neutral-atom scattering factors, no anomalous dispersion.

Most intense lines, 2θ from 10° to 90°, low angle first:
| two_theta | intensity | h k l |
| --- | --- | --- |
| 21.2 | 100 | 1 0 1 |
| 27.5 | 78 | 0 1 2 |
| 30.1 | 17 | 0 0 3 |
| 32.7 | 50 | 1 1 0 |
| 39.4 | 22 | 0 2 1 |
| 43.3 | 22 | 2 0 2 |
| 45.0 | 40 | 1 0 4 |
| 52.1 | 20 | 2 1 1 |
| 55.3 | 22 | 3 -2 2 |
| 67.1 | 24 | 2 1 4 |

Structure:
Unit cell a=5.4696 b=5.4696 c=8.9039 alpha=90.00 beta=90.00 gamma=120.00
Fractional positions:
1 Cs 0.0000 0.0000 0.0000
2 V 0.0000 0.0000 0.5000
3 Te 0.3333 0.6667 0.6673
4 Te 0.6667 0.3333 0.3327
5 O 0.0102 0.2903 0.6239
6 O 0.2801 0.9898 0.6239
7 O 0.2903 0.2801 0.3761
8 O 0.3333 0.6667 0.8716
9 O 0.6667 0.3333 0.1284
10 O 0.7097 0.7199 0.6239
11 O 0.7199 0.0102 0.3761
12 O 0.9898 0.7097 0.3761